The following is a simulated PXRD pattern of LiInCoF6. It was derived from DFT lattice parameters and positions (GGA+U), using Cu Kα X-rays.

Atomic structure:
Unit cell a=4.840 b=4.840 c=9.646 alpha=90.00 beta=90.00 gamma=90.00
Sites, in units of the cell vectors:
Li (0.000, 0.000, 0.000)
Li (0.500, 0.500, 0.500)
In (0.000, 0.000, 0.335)
In (0.500, 0.500, 0.835)
Co (0.000, 0.000, 0.669)
Co (0.500, 0.500, 0.169)
F (0.192, 0.192, 0.835)
F (0.196, 0.196, 0.505)
F (0.201, 0.201, 0.168)
F (0.299, 0.701, 0.668)
F (0.304, 0.696, 0.005)
F (0.308, 0.692, 0.335)
F (0.692, 0.308, 0.335)
F (0.696, 0.304, 0.005)
F (0.701, 0.299, 0.668)
F (0.799, 0.799, 0.168)
F (0.804, 0.804, 0.505)
F (0.808, 0.808, 0.835)

Largest 6 diffraction maxima, by intensity, 5 to 70 degrees two-theta:
26.04 deg, I = 100.0, (1 1 0)
20.53 deg, I = 81.6, (1 0 1)
50.86 deg, I = 69.6, (2 1 3)
33.46 deg, I = 55.1, (1 0 3)
64.66 deg, I = 33.0, (3 0 3)
32.07 deg, I = 28.4, (1 1 2)